(1)
This entry pairs a crystal structure of KTaSi2O7 with its computed powder diffraction line list. Radiation: CuKα. Structure: a cell relaxed with GGA-PBE.
Neutral-atom scattering factors, no anomalous dispersion.

Top 12 peaks for 10 to 80 degrees two-theta, sorted by position:
- 14.1°, d = 6.289 Å, intensity 100, hkl 1 1 0
- 20.0°, d = 4.447 Å, intensity 74, hkl 2 0 0
- 22.3°, d = 3.984 Å, intensity 56, hkl 0 0 2
- 26.5°, d = 3.366 Å, intensity 52, hkl 1 1 2
- 28.4°, d = 3.144 Å, intensity 36, hkl 2 2 0
- 30.1°, d = 2.968 Å, intensity 61, hkl 2 0 2
- 31.8°, d = 2.813 Å, intensity 78, hkl 3 1 0
- 39.2°, d = 2.298 Å, intensity 27, hkl 3 1 2
- 45.6°, d = 1.990 Å, intensity 43, hkl 0 0 4
- 51.3°, d = 1.779 Å, intensity 28, hkl 4 2 2
- 56.6°, d = 1.626 Å, intensity 22, hkl 3 1 4
- 66.4°, d = 1.407 Å, intensity 24, hkl 4 2 4

```
data_KTaSi2O7
_chemical_formula_sum 'K4 Ta4 Si8 O28'
_symmetry_space_group_name_H-M 'P 4/m b m'
_symmetry_Int_Tables_number 127
_symmetry_space_group_name_Hall '-P 4 2ab'
_cell_length_a 8.894
_cell_length_b 8.894
_cell_length_c 7.970
_cell_angle_alpha 90.00
_cell_angle_beta 90.00
_cell_angle_gamma 90.00
loop_
_atom_site_label
_atom_site_type_symbol
_atom_site_fract_x
_atom_site_fract_y
_atom_site_fract_z
K1 K 0.179 0.321 0.000
Ta1 Ta 0.000 0.000 0.249
Si1 Si 0.122 0.622 0.299
O1 O 0.000 0.000 0.000
O2 O 0.000 0.000 0.500
O3 O 0.000 0.500 0.220
O4 O 0.076 0.788 0.233
O5 O 0.114 0.614 0.500
```

---

(2)
This entry pairs a crystal structure of KSiTcO6 with its computed powder diffraction line list. Radiation: CuKα. Structure: a cell relaxed with GGA-PBE.
Neutral-atom scattering factors, no anomalous dispersion.

Top 12 peaks for 10 to 80 degrees two-theta, sorted by position:
- 14.6°, d = 6.047 Å, intensity 73, hkl 0 0 1
- 20.6°, d = 4.309 Å, intensity 24, hkl 1 0 0
- 25.4°, d = 3.509 Å, intensity 100, hkl 1 0 1
- 36.1°, d = 2.488 Å, intensity 18, hkl 1 1 0
- 36.3°, d = 2.475 Å, intensity 10, hkl 1 0 2
- 39.2°, d = 2.301 Å, intensity 16, hkl 1 1 1
- 44.7°, d = 2.029 Å, intensity 14, hkl 2 0 1
- 47.3°, d = 1.921 Å, intensity 41, hkl 1 1 2
- 50.0°, d = 1.826 Å, intensity 11, hkl 1 0 3
- 58.7°, d = 1.573 Å, intensity 17, hkl 2 1 1
- 63.2°, d = 1.472 Å, intensity 10, hkl 2 0 3
- 73.3°, d = 1.292 Å, intensity 9, hkl 2 -1 4

```
data_KSiTcO6
_chemical_formula_sum 'K1 Si1 Tc1 O6'
_symmetry_space_group_name_H-M 'P 3 1 2'
_symmetry_Int_Tables_number 149
_cell_length_a 4.9753
_cell_length_b 4.9753
_cell_length_c 6.0473
_cell_angle_alpha 90.00
_cell_angle_beta 90.00
_cell_angle_gamma 120.00
loop_
_symmetry_equiv_pos_as_xyz
'x,y,z'
'-y,x-y,z'
'-x+y,-x,z'
'-y,-x,-z'
'-x+y,y,-z'
'x,x-y,-z'
loop_
_atom_site_label
_atom_site_type_symbol
_atom_site_fract_x
_atom_site_fract_y
_atom_site_fract_z
K1 K 0.0000 0.0000 0.0000
Si1 Si 0.6667 0.3333 0.5000
Tc1 Tc 0.3333 0.6667 0.5000
O1 O 0.3993 0.0146 0.3282
```

---

> Number 1 is which compound?

KTaSi2O7

---

Repeat the second record exactly.
This entry pairs a crystal structure of KSiTcO6 with its computed powder diffraction line list. Radiation: CuKα. Structure: a cell relaxed with GGA-PBE.
Neutral-atom scattering factors, no anomalous dispersion.

Top 12 peaks for 10 to 80 degrees two-theta, sorted by position:
- 14.6°, d = 6.047 Å, intensity 73, hkl 0 0 1
- 20.6°, d = 4.309 Å, intensity 24, hkl 1 0 0
- 25.4°, d = 3.509 Å, intensity 100, hkl 1 0 1
- 36.1°, d = 2.488 Å, intensity 18, hkl 1 1 0
- 36.3°, d = 2.475 Å, intensity 10, hkl 1 0 2
- 39.2°, d = 2.301 Å, intensity 16, hkl 1 1 1
- 44.7°, d = 2.029 Å, intensity 14, hkl 2 0 1
- 47.3°, d = 1.921 Å, intensity 41, hkl 1 1 2
- 50.0°, d = 1.826 Å, intensity 11, hkl 1 0 3
- 58.7°, d = 1.573 Å, intensity 17, hkl 2 1 1
- 63.2°, d = 1.472 Å, intensity 10, hkl 2 0 3
- 73.3°, d = 1.292 Å, intensity 9, hkl 2 -1 4

```
data_KSiTcO6
_chemical_formula_sum 'K1 Si1 Tc1 O6'
_symmetry_space_group_name_H-M 'P 3 1 2'
_symmetry_Int_Tables_number 149
_cell_length_a 4.9753
_cell_length_b 4.9753
_cell_length_c 6.0473
_cell_angle_alpha 90.00
_cell_angle_beta 90.00
_cell_angle_gamma 120.00
loop_
_symmetry_equiv_pos_as_xyz
'x,y,z'
'-y,x-y,z'
'-x+y,-x,z'
'-y,-x,-z'
'-x+y,y,-z'
'x,x-y,-z'
loop_
_atom_site_label
_atom_site_type_symbol
_atom_site_fract_x
_atom_site_fract_y
_atom_site_fract_z
K1 K 0.0000 0.0000 0.0000
Si1 Si 0.6667 0.3333 0.5000
Tc1 Tc 0.3333 0.6667 0.5000
O1 O 0.3993 0.0146 0.3282
```

---

Repeat the first record exactly.
This entry pairs a crystal structure of KTaSi2O7 with its computed powder diffraction line list. Radiation: CuKα. Structure: a cell relaxed with GGA-PBE.
Neutral-atom scattering factors, no anomalous dispersion.

Top 12 peaks for 10 to 80 degrees two-theta, sorted by position:
- 14.1°, d = 6.289 Å, intensity 100, hkl 1 1 0
- 20.0°, d = 4.447 Å, intensity 74, hkl 2 0 0
- 22.3°, d = 3.984 Å, intensity 56, hkl 0 0 2
- 26.5°, d = 3.366 Å, intensity 52, hkl 1 1 2
- 28.4°, d = 3.144 Å, intensity 36, hkl 2 2 0
- 30.1°, d = 2.968 Å, intensity 61, hkl 2 0 2
- 31.8°, d = 2.813 Å, intensity 78, hkl 3 1 0
- 39.2°, d = 2.298 Å, intensity 27, hkl 3 1 2
- 45.6°, d = 1.990 Å, intensity 43, hkl 0 0 4
- 51.3°, d = 1.779 Å, intensity 28, hkl 4 2 2
- 56.6°, d = 1.626 Å, intensity 22, hkl 3 1 4
- 66.4°, d = 1.407 Å, intensity 24, hkl 4 2 4

```
data_KTaSi2O7
_chemical_formula_sum 'K4 Ta4 Si8 O28'
_symmetry_space_group_name_H-M 'P 4/m b m'
_symmetry_Int_Tables_number 127
_symmetry_space_group_name_Hall '-P 4 2ab'
_cell_length_a 8.894
_cell_length_b 8.894
_cell_length_c 7.970
_cell_angle_alpha 90.00
_cell_angle_beta 90.00
_cell_angle_gamma 90.00
loop_
_atom_site_label
_atom_site_type_symbol
_atom_site_fract_x
_atom_site_fract_y
_atom_site_fract_z
K1 K 0.179 0.321 0.000
Ta1 Ta 0.000 0.000 0.249
Si1 Si 0.122 0.622 0.299
O1 O 0.000 0.000 0.000
O2 O 0.000 0.000 0.500
O3 O 0.000 0.500 0.220
O4 O 0.076 0.788 0.233
O5 O 0.114 0.614 0.500
```